Entry 1:
KCaAsO12: calculated PXRD pattern (λ = 1.5418 Å (Cu Kα)), based on a cell relaxed with GGA-PBE.

Largest 10 diffraction maxima, low angle first, 2θ from 10° to 90°:
2θ 11.3, intensity 56
2θ 13.7, intensity 44
2θ 21.1, intensity 100
2θ 22.7, intensity 33
2θ 26.4, intensity 66
2θ 27.6, intensity 41
2θ 31.0, intensity 47
2θ 32.1, intensity 38
2θ 35.8, intensity 79
2θ 43.0, intensity 33

Lattice parameters (Å, degrees): 3.9636 8.6015 8.6015 48.79 90.00 90.00
Fractional coordinates of all 15 atoms:
K 0.0000 0.0000 0.0000
Ca 0.0000 0.6567 0.6567
As 0.5000 0.2881 0.2881
O 0.0000 0.0017 0.4598
O 0.0000 0.4598 0.0017
O 0.2163 0.3748 0.3748
O 0.3371 0.3643 0.7321
O 0.3371 0.7321 0.3643
O 0.3422 0.8417 0.8417
O 0.5000 0.0247 0.4113
O 0.5000 0.4113 0.0247
O 0.6578 0.8417 0.8417
O 0.6629 0.3643 0.7321
O 0.6629 0.7321 0.3643
O 0.7837 0.3748 0.3748

Entry 2:
KCaAsO12: calculated PXRD pattern (λ = 1.5418 Å (Cu Kα)), based on a cell relaxed with GGA-PBE.

Largest 10 diffraction maxima, low angle first, 2θ from 10° to 90°:
2θ 11.6, intensity 10
2θ 12.4, intensity 100
2θ 20.9, intensity 30
2θ 22.1, intensity 25
2θ 23.3, intensity 19
2θ 25.0, intensity 20
2θ 27.1, intensity 20
2θ 29.2, intensity 15
2θ 30.6, intensity 44
2θ 36.9, intensity 15

Lattice parameters (Å, degrees): 5.1226 8.6341 8.6341 55.43 90.00 90.00
Fractional coordinates of all 15 atoms:
K 0.0000 0.0000 0.0000
Ca 0.0000 0.5397 0.5397
As 0.5000 0.7248 0.7248
O 0.0000 0.7442 0.8984
O 0.0000 0.8984 0.7442
O 0.2497 0.6491 0.6491
O 0.3748 0.2966 0.6795
O 0.3748 0.6795 0.2966
O 0.3800 0.1736 0.1736
O 0.5000 0.6150 0.9631
O 0.5000 0.9631 0.6150
O 0.6200 0.1736 0.1736
O 0.6252 0.2966 0.6795
O 0.6252 0.6795 0.2966
O 0.7503 0.6491 0.6491

What did the first record say?
KCaAsO12: calculated PXRD pattern (λ = 1.5418 Å (Cu Kα)), based on a cell relaxed with GGA-PBE.

Largest 10 diffraction maxima, low angle first, 2θ from 10° to 90°:
2θ 11.3, intensity 56
2θ 13.7, intensity 44
2θ 21.1, intensity 100
2θ 22.7, intensity 33
2θ 26.4, intensity 66
2θ 27.6, intensity 41
2θ 31.0, intensity 47
2θ 32.1, intensity 38
2θ 35.8, intensity 79
2θ 43.0, intensity 33

Lattice parameters (Å, degrees): 3.9636 8.6015 8.6015 48.79 90.00 90.00
Fractional coordinates of all 15 atoms:
K 0.0000 0.0000 0.0000
Ca 0.0000 0.6567 0.6567
As 0.5000 0.2881 0.2881
O 0.0000 0.0017 0.4598
O 0.0000 0.4598 0.0017
O 0.2163 0.3748 0.3748
O 0.3371 0.3643 0.7321
O 0.3371 0.7321 0.3643
O 0.3422 0.8417 0.8417
O 0.5000 0.0247 0.4113
O 0.5000 0.4113 0.0247
O 0.6578 0.8417 0.8417
O 0.6629 0.3643 0.7321
O 0.6629 0.7321 0.3643
O 0.7837 0.3748 0.3748